Diffraction record for Li3H3Ir. The powder XRD pattern is computed, not measured: it uses a GGA-PBE-relaxed structure and a wavelength of 1.5418 Å.
Lines closer than 0.1° are merged.

The 10 most intense peaks (10° ≤ 2θ ≤ 90°), in order of rising 2θ:
- hkl 0 0 1, 2θ = 16.08°, rel. 68
- hkl 1 0 -1, 2θ = 18.93°, rel. 99
- hkl 0 1 1, 2θ = 26.86°, rel. 59
- hkl 1 1 0, 2θ = 27.56°, rel. 100
- hkl 1 0 -2, 2θ = 30.87°, rel. 26
- hkl 1 1 1, 2θ = 35.14°, rel. 35
- hkl 0 1 2, 2θ = 39.22°, rel. 42
- hkl 2 1 -1, 2θ = 39.39°, rel. 43
- hkl 1 2 -1, 2θ = 47.88°, rel. 19
- hkl 2 0 -3, 2θ = 49.62°, rel. 27

Structural model:
```
Li3H3Ir
1.0
5.519 0.000 0.000
0.000 4.156 0.000
-2.096 0.000 5.513
Li H Ir
6 6 2
direct
0.049 0.250 0.374
0.188 0.750 0.085
0.436 0.750 0.664
0.564 0.250 0.336
0.812 0.250 0.915
0.951 0.750 0.626
0.013 0.750 0.323
0.206 0.250 0.103
0.420 0.250 0.626
0.580 0.750 0.374
0.794 0.750 0.897
0.987 0.250 0.677
0.300 0.250 0.860
0.700 0.750 0.140
```